Entry 1:
Diffraction record for Y2Zn15Hg2. The powder X-ray diffraction pattern is simulated, not measured: it uses a crystal structure in Alexandria, relaxed with PBE and Cu Kα, 1.54184 Å.
Intensities are scaled so that the largest is 100.

Largest 6 diffraction maxima, in order of rising 2θ, 10° ≤ 2θ ≤ 80°:
2θ 13.01, I 65
2θ 33.95, I 82
2θ 35.22, I 59
2θ 39.41, I 100
2θ 39.72, I 67
2θ 44.58, I 90

Structural model:
Unit cell a=6.898 b=6.898 c=6.898 alpha=83.06 beta=83.06 gamma=83.06
Sites, in units of the cell vectors:
Y 0.158 0.158 0.158
Y 0.842 0.842 0.842
Zn 0.000 0.500 0.500
Zn 0.146 0.146 0.670
Zn 0.146 0.670 0.146
Zn 0.195 0.500 0.805
Zn 0.195 0.805 0.500
Zn 0.330 0.854 0.854
Zn 0.500 0.000 0.500
Zn 0.500 0.195 0.805
Zn 0.500 0.500 0.000
Zn 0.500 0.805 0.195
Zn 0.670 0.146 0.146
Zn 0.805 0.195 0.500
Zn 0.805 0.500 0.195
Zn 0.854 0.330 0.854
Zn 0.854 0.854 0.330
Hg 0.391 0.391 0.391
Hg 0.609 0.609 0.609

---

Entry 2:
Diffraction record for Y6Zn2Hg. The powder X-ray diffraction pattern is simulated, not measured: it uses a crystal structure in Alexandria, relaxed with PBE and Cu Kα, 1.54184 Å.
Intensities are scaled so that the largest is 100.

Largest 6 diffraction maxima, in order of rising 2θ, 10° ≤ 2θ ≤ 80°:
2θ 31.20, I 100
2θ 33.42, I 31
2θ 33.94, I 61
2θ 34.10, I 31
2θ 36.29, I 34
2θ 57.40, I 22

Structural model:
Unit cell a=8.605 b=8.605 c=8.605 alpha=110.74 beta=109.75 gamma=107.94
Sites, in units of the cell vectors:
Y 0.034 0.821 0.213
Y 0.244 0.543 0.299
Y 0.244 0.945 0.701
Y 0.272 0.319 0.591
Y 0.272 0.681 0.952
Y 0.392 0.179 0.213
Y 0.608 0.821 0.787
Y 0.728 0.319 0.048
Y 0.728 0.681 0.409
Y 0.756 0.055 0.299
Y 0.756 0.457 0.701
Y 0.966 0.179 0.787
Zn 0.000 0.137 0.137
Zn 0.000 0.863 0.863
Zn 0.375 0.375 0.000
Zn 0.625 0.625 0.000
Hg 0.000 0.500 0.500
Hg 0.500 0.000 0.500

---

Entry 3:
Diffraction record for YZnHg. The powder X-ray diffraction pattern is simulated, not measured: it uses a crystal structure in Alexandria, relaxed with PBE and Cu Kα, 1.54184 Å.
Intensities are scaled so that the largest is 100.

Largest 6 diffraction maxima, in order of rising 2θ, 10° ≤ 2θ ≤ 80°:
2θ 25.34, I 48
2θ 33.61, I 100
2θ 38.52, I 88
2θ 52.03, I 29
2θ 66.18, I 35
2θ 66.57, I 27

Structural model:
Unit cell a=4.674 b=4.674 c=7.089 alpha=90.00 beta=90.00 gamma=120.00
Sites, in units of the cell vectors:
Y 0.000 0.000 0.000
Y 0.000 0.000 0.500
Zn 0.333 0.667 0.250
Zn 0.667 0.333 0.750
Hg 0.333 0.667 0.750
Hg 0.667 0.333 0.250

---

Entry 4:
Diffraction record for Y3Zn4Hg4. The powder X-ray diffraction pattern is simulated, not measured: it uses a crystal structure in Alexandria, relaxed with PBE and Cu Kα, 1.54184 Å.
Intensities are scaled so that the largest is 100.

Largest 6 diffraction maxima, in order of rising 2θ, 10° ≤ 2θ ≤ 80°:
2θ 24.95, I 45
2θ 32.04, I 67
2θ 33.13, I 68
2θ 33.86, I 75
2θ 38.61, I 64
2θ 39.56, I 100

Structural model:
Unit cell a=3.597 b=4.664 c=14.653 alpha=99.09 beta=97.04 gamma=90.02
Sites, in units of the cell vectors:
Y 0.000 0.000 0.000
Y 0.144 0.645 0.288
Y 0.856 0.355 0.712
Zn 0.261 0.261 0.523
Zn 0.406 0.905 0.812
Zn 0.594 0.095 0.188
Zn 0.739 0.739 0.477
Hg 0.314 0.812 0.626
Hg 0.448 0.449 0.899
Hg 0.552 0.551 0.101
Hg 0.686 0.188 0.374

---

Number 3 is which compound? YZnHg